[1]
The following is a calculated PXRD pattern of Ce2ErCo9. It was derived from the PBE geometry in Alexandria, using Cu Kα.
Intensities are scaled so that the largest is 100.

Main lines, most intense first (2θ = 10–80°):
d [Å], I (rel.)
2.106, 100
2.720, 52
2.447, 52
2.504, 43
2.111, 39
1.337, 22
1.223, 21
1.460, 15
1.360, 15
1.423, 15

Structure:
```
12
Lattice="2.447 1.413 8.275 -2.447 1.413 8.275 0.000 -2.825 8.275" Properties=species:S:1:pos:R:3 pbc="T T T"
Ce 0.000 0.000 3.468
Ce 0.000 0.000 21.359
Er 0.000 0.000 0.000
Co -1.215 -0.702 10.251
Co 0.000 0.000 8.257
Co 0.000 -1.403 14.575
Co -1.215 0.702 14.575
Co 0.000 0.000 12.413
Co 1.215 -0.702 10.251
Co 0.000 1.403 10.251
Co 0.000 0.000 16.570
Co 1.215 0.702 14.575
```


[2]
The following is a calculated PXRD pattern of K3Na9Ag2. It was derived from the PBE geometry in Alexandria, using Cu Kα.
Intensities are scaled so that the largest is 100.

Main lines, most intense first (2θ = 10–80°):
d [Å], I (rel.)
3.195, 100
7.285, 87
3.141, 76
3.317, 69
2.517, 69
2.712, 54
5.084, 53
4.335, 43
2.100, 36
2.952, 35

Structure:
```
14
Lattice="-2.712 6.811 7.285 2.712 -6.811 7.285 2.712 6.811 -7.285" Properties=species:S:1:pos:R:3 pbc="T T T"
K 0.000 0.000 0.000
K 0.000 0.000 4.524
K 0.000 0.000 10.046
Na 2.712 1.950 -1.999
Na 2.712 -2.888 5.518
Na 2.712 1.950 1.999
Na 0.000 3.923 1.767
Na 0.000 6.811 0.000
Na 2.712 2.888 5.518
Na 0.000 4.860 5.286
Na 0.000 9.698 1.767
Na 0.000 4.860 9.284
Ag 2.712 4.437 0.000
Ag 0.000 2.374 7.285
```


[3]
The following is a calculated PXRD pattern of KU2Cl7. It was derived from the PBE geometry in Alexandria, using Cu Kα.
Intensities are scaled so that the largest is 100.

Main lines, most intense first (2θ = 10–80°):
d [Å], I (rel.)
5.458, 100
7.062, 83
4.145, 59
4.369, 54
2.411, 43
4.318, 40
2.729, 37
2.688, 36
2.477, 32
3.716, 29

Structure:
```
10
Lattice="4.369 -7.062 0.000 4.369 7.062 0.000 0.000 0.000 5.458" Properties=species:S:1:pos:R:3 pbc="T T T"
K 0.000 0.000 0.000
U 4.369 2.756 2.729
U 4.369 -2.756 2.729
Cl 1.634 1.954 2.729
Cl 4.369 2.960 0.000
Cl 1.634 -1.954 2.729
Cl 4.369 0.000 2.729
Cl 7.105 1.954 2.729
Cl 4.369 -2.960 0.000
Cl 7.105 -1.954 2.729
```


[4]
The following is a calculated PXRD pattern of SmY14In. It was derived from the PBE geometry in Alexandria, using Cu Kα.
Intensities are scaled so that the largest is 100.

Main lines, most intense first (2θ = 10–80°):
d [Å], I (rel.)
2.860, 100
2.732, 33
2.761, 17
2.872, 15
1.601, 13
1.942, 11
3.206, 10
2.677, 8
2.113, 8
1.739, 8

Structure:
```
16
Lattice="10.930 0.000 0.000 0.000 4.227 5.523 0.000 -4.227 5.523" Properties=species:S:1:pos:R:3 pbc="T T T"
Sm 0.000 0.000 0.000
Y 0.000 -1.743 2.968
Y 0.000 1.743 2.968
Y 2.416 0.000 8.463
Y 2.652 -1.755 5.357
Y 2.652 1.755 5.357
Y 3.004 0.000 2.263
Y 5.465 0.000 4.713
Y 5.465 -1.695 7.806
Y 5.465 1.695 7.806
Y 5.465 0.000 10.793
Y 7.926 0.000 2.263
Y 8.278 -1.755 5.357
Y 8.278 1.755 5.357
Y 8.514 0.000 8.463
In 0.000 0.000 6.071
```


[5]
The following is a calculated PXRD pattern of TbSc3Hg2. It was derived from the PBE geometry in Alexandria, using Cu Kα.
Intensities are scaled so that the largest is 100.

Main lines, most intense first (2θ = 10–80°):
d [Å], I (rel.)
2.654, 100
3.607, 74
2.500, 73
3.673, 55
2.438, 48
2.011, 42
2.679, 34
2.031, 24
1.803, 21
1.998, 20

Structure:
```
12
Lattice="4.876 0.000 0.000 0.000 8.736 0.000 0.000 0.000 6.787" Properties=species:S:1:pos:R:3 pbc="T T T"
Tb 0.000 0.447 0.000
Tb 0.000 8.289 3.394
Sc 0.000 2.893 4.486
Sc 0.000 5.843 1.093
Sc 2.438 1.605 2.116
Sc 2.438 3.927 6.588
Sc 2.438 4.809 3.195
Sc 2.438 7.130 5.509
Hg 0.000 3.077 1.587
Hg 0.000 5.659 4.981
Hg 2.438 1.346 5.017
Hg 2.438 7.389 1.624
```


[6]
The following is a calculated PXRD pattern of Cu2MoPt9. It was derived from the PBE geometry in Alexandria, using Cu Kα.
Intensities are scaled so that the largest is 100.

Main lines, most intense first (2θ = 10–80°):
d [Å], I (rel.)
2.265, 100
1.964, 33
1.387, 21
1.958, 16
1.389, 11
3.924, 9
2.775, 8
1.602, 3
1.756, 3
1.753, 1

Structure:
```
12
Lattice="3.928 0.000 0.000 0.000 3.928 0.000 0.000 0.000 11.750" Properties=species:S:1:pos:R:3 pbc="T T T"
Cu 0.000 0.000 1.913
Cu 0.000 0.000 9.837
Mo 0.000 0.000 5.875
Pt 0.000 1.964 0.000
Pt 0.000 1.964 3.919
Pt 0.000 1.964 7.831
Pt 1.964 0.000 0.000
Pt 1.964 0.000 3.919
Pt 1.964 0.000 7.831
Pt 1.964 1.964 1.950
Pt 1.964 1.964 5.875
Pt 1.964 1.964 9.800
```


[7]
The following is a calculated PXRD pattern of Mg2MnRe. It was derived from the PBE geometry in Alexandria, using Cu Kα.
Intensities are scaled so that the largest is 100.

Main lines, most intense first (2θ = 10–80°):
d [Å], I (rel.)
2.284, 100
4.396, 57
2.866, 36
3.780, 35
2.673, 33
1.890, 28
2.198, 22
1.433, 22
1.736, 18
1.698, 17

Structure:
```
4
Lattice="3.780 0.000 0.000 0.000 3.780 0.000 0.000 0.000 4.396" Properties=species:S:1:pos:R:3 pbc="T T T"
Mg 0.000 1.890 0.000
Mg 1.890 0.000 0.000
Mn 0.000 0.000 2.198
Re 1.890 1.890 2.198
```


[8]
The following is a calculated PXRD pattern of PH2Pd8. It was derived from the PBE geometry in Alexandria, using Cu Kα.
Intensities are scaled so that the largest is 100.

Main lines, most intense first (2θ = 10–80°):
d [Å], I (rel.)
2.227, 100
2.206, 69
2.264, 59
2.330, 44
2.279, 28
1.606, 19
1.300, 18
2.544, 17
1.296, 13
1.268, 12

Structure:
```
11
Lattice="6.514 -2.264 0.000 6.514 2.264 0.000 -1.666 0.000 4.820" Properties=species:S:1:pos:R:3 pbc="T T T"
P 0.000 0.000 0.000
H 3.746 0.000 1.485
H 7.617 0.000 3.335
Pd 0.467 0.000 2.247
Pd 2.434 0.000 0.159
Pd 3.054 0.000 3.102
Pd 5.496 0.000 0.980
Pd 5.867 0.000 3.840
Pd 8.309 0.000 1.719
Pd 8.928 0.000 4.661
Pd 10.895 0.000 2.573
```


[9]
The following is a calculated PXRD pattern of Pm2SmDy2Y6. It was derived from the PBE geometry in Alexandria, using Cu Kα.
Intensities are scaled so that the largest is 100.

Main lines, most intense first (2θ = 10–80°):
d [Å], I (rel.)
2.797, 100
2.854, 38
2.922, 27
2.903, 22
1.637, 20
2.659, 20
2.035, 16
1.946, 16
1.496, 15
1.485, 12

Structure:
```
11
Lattice="2.854 -6.035 0.000 2.854 6.035 0.000 0.000 0.000 10.638" Properties=species:S:1:pos:R:3 pbc="T T T"
Pm 2.854 4.416 0.000
Pm 2.854 -4.416 0.000
Sm 2.854 0.000 5.319
Dy 2.854 3.559 5.319
Dy 2.854 -3.559 5.319
Y 0.000 0.000 3.114
Y 0.000 0.000 7.524
Y 2.854 1.847 2.218
Y 2.854 1.847 8.420
Y 2.854 -1.847 2.218
Y 2.854 -1.847 8.420
```


[10]
The following is a calculated PXRD pattern of Nb4Ni5Ge6. It was derived from the PBE geometry in Alexandria, using Cu Kα.
Intensities are scaled so that the largest is 100.

Main lines, most intense first (2θ = 10–80°):
d [Å], I (rel.)
2.241, 100
1.887, 59
2.326, 37
2.528, 37
2.510, 34
2.408, 30
1.784, 29
2.572, 28
2.282, 24
2.057, 23

Structure:
```
30
Lattice="1.887 -8.788 0.000 1.887 8.788 0.000 0.000 0.000 13.694" Properties=species:S:1:pos:R:3 pbc="T T T"
Nb 1.887 8.546 6.847
Nb 1.887 8.151 10.585
Nb 1.887 5.910 4.135
Nb 1.887 5.553 12.814
Nb 1.887 -5.553 5.967
Nb 1.887 -5.910 10.982
Nb 1.887 -8.151 3.738
Nb 1.887 -8.546 0.000
Ni 1.887 6.207 8.592
Ni 1.887 3.432 8.398
Ni 1.887 2.753 3.724
Ni 1.887 2.480 13.419
Ni 1.887 1.043 9.320
Ni 1.887 -1.043 2.473
Ni 1.887 -2.480 6.572
Ni 1.887 -2.753 10.571
Ni 1.887 -3.432 1.551
Ni 1.887 -6.207 1.745
Ge 1.887 6.769 1.502
Ge 1.887 4.962 6.642
Ge 1.887 4.669 10.339
Ge 1.887 1.378 5.716
Ge 1.887 1.208 1.798
Ge 1.887 1.025 11.658
Ge 1.887 -1.025 4.810
Ge 1.887 -1.208 8.645
Ge 1.887 -1.378 12.563
Ge 1.887 -4.669 3.492
Ge 1.887 -4.962 13.489
Ge 1.887 -6.769 8.349
```


[11]
The following is a calculated PXRD pattern of As2S3. It was derived from the PBE geometry in Alexandria, using Cu Kα.
Intensities are scaled so that the largest is 100.

Main lines, most intense first (2θ = 10–80°):
d [Å], I (rel.)
5.396, 100
3.750, 35
4.824, 30
3.776, 26
2.947, 25
2.630, 22
4.485, 21
2.633, 20
4.060, 19
1.795, 18

Structure:
```
20
Lattice="5.918 0.000 0.000 0.007 9.083 0.000 2.000 1.714 10.791" Properties=species:S:1:pos:R:3 pbc="T T T"
As 0.957 1.890 3.493
As 1.185 7.809 1.872
As 4.041 7.537 8.915
As 3.814 4.376 7.321
As 4.111 6.421 3.470
As 3.884 3.260 1.876
As 6.740 2.988 8.919
As 6.969 8.907 7.299
S 0.636 0.910 1.438
S 1.767 3.440 6.874
S 1.854 3.864 2.727
S 3.494 5.358 9.376
S 3.094 7.960 6.864
S 3.222 8.402 2.712
S 4.703 2.395 8.080
S 4.831 2.837 3.927
S 4.431 5.439 1.415
S 6.071 6.933 8.065
S 6.158 7.357 3.918
S 7.289 9.887 9.354
```


[12]
The following is a calculated PXRD pattern of Sm2Y3Ga4. It was derived from the PBE geometry in Alexandria, using Cu Kα.
Intensities are scaled so that the largest is 100.

Main lines, most intense first (2θ = 10–80°):
d [Å], I (rel.)
2.780, 100
2.506, 37
2.767, 35
2.898, 33
2.400, 33
3.033, 26
2.720, 24
2.551, 22
2.437, 17
2.845, 16

Structure:
```
18
Lattice="7.983 0.000 0.000 0.000 8.013 0.000 -2.150 0.000 7.238" Properties=species:S:1:pos:R:3 pbc="T T T"
Sm 1.368 1.470 0.549
Sm 0.293 2.536 4.168
Sm 5.540 5.477 3.070
Sm 4.465 6.543 6.689
Y 1.369 5.410 1.820
Y 0.294 6.609 5.439
Y 2.916 0.000 3.619
Y 3.991 4.007 0.000
Y 5.539 1.404 1.799
Y 4.464 2.603 5.418
Ga -1.211 4.231 6.277
Ga -0.136 7.789 2.657
Ga 2.035 0.972 6.360
Ga 3.110 3.035 2.741
Ga 2.723 4.978 4.497
Ga 3.798 7.041 0.878
Ga 5.969 0.224 4.581
Ga 7.044 3.782 0.962
```